Entry 1:
Structure and simulated X-ray powder pattern of NaTi2N (the GGA-PBE geometry in Alexandria; Cu Kα (λ = 1.5418 Å)).
Kinematic intensities with the Lorentz-polarization factor, no thermal factor.

Main lines, in order of rising 2θ (10° ≤ 2θ ≤ 90°):
2θ = 17.10°, intensity 100.0
2θ = 28.10°, intensity 37.1
2θ = 33.08°, intensity 95.4
2θ = 34.59°, intensity 83.1
2θ = 43.94°, intensity 20.2
2θ = 52.97°, intensity 31.2
2θ = 58.09°, intensity 46.0
2θ = 69.41°, intensity 26.8

Cell and atoms:
Unit cell a=6.3513 b=6.3513 c=6.3513 alpha=60.00 beta=60.00 gamma=60.00
Fractional positions:
Na 0.1250 0.1250 0.1250
Na 0.8750 0.8750 0.8750
Ti 0.0000 0.5000 0.5000
Ti 0.5000 0.0000 0.5000
Ti 0.5000 0.5000 0.0000
Ti 0.5000 0.5000 0.5000
N 0.3750 0.3750 0.3750
N 0.6250 0.6250 0.6250


Entry 2:
Structure and simulated X-ray powder pattern of Cs2NaAg2I6 (the GGA-PBE geometry in Alexandria; Cu Kα (λ = 1.5418 Å)).
Kinematic intensities with the Lorentz-polarization factor, no thermal factor.

Main lines, in order of rising 2θ (10° ≤ 2θ ≤ 90°):
2θ = 20.33°, intensity 37.8
2θ = 21.09°, intensity 100.0
2θ = 21.89°, intensity 53.7
2θ = 24.05°, intensity 41.3
2θ = 25.59°, intensity 42.8
2θ = 26.05°, intensity 92.3
2θ = 29.31°, intensity 58.4
2θ = 43.26°, intensity 37.7

Cell and atoms:
Unit cell a=8.8163 b=8.8163 c=9.6877 alpha=116.21 beta=116.21 gamma=53.15
Fractional positions:
Cs 0.2203 0.2203 0.2210
Cs 0.7797 0.7797 0.7790
Na 0.0000 0.0000 0.5000
Ag 0.4335 0.4335 0.7542
Ag 0.5665 0.5665 0.2458
I 0.1775 0.7072 0.1948
I 0.2387 0.2387 0.6383
I 0.2928 0.8225 0.8052
I 0.7072 0.1775 0.1948
I 0.7613 0.7613 0.3617
I 0.8225 0.2928 0.8052


Entry 3:
Structure and simulated X-ray powder pattern of Tc7P6 (the GGA-PBE geometry in Alexandria; Cu Kα (λ = 1.5418 Å)).
Kinematic intensities with the Lorentz-polarization factor, no thermal factor.

Main lines, in order of rising 2θ (10° ≤ 2θ ≤ 90°):
2θ = 19.59°, intensity 87.9
2θ = 21.68°, intensity 64.1
2θ = 39.25°, intensity 68.0
2θ = 39.78°, intensity 51.9
2θ = 40.40°, intensity 74.5
2θ = 43.34°, intensity 54.1
2θ = 47.15°, intensity 100.0
2θ = 49.41°, intensity 40.9

Cell and atoms:
Unit cell a=8.7553 b=8.7553 c=8.7553 alpha=35.41 beta=35.41 gamma=35.41
Fractional positions:
Tc 0.0000 0.0000 0.0000
Tc 0.0740 0.0740 0.5757
Tc 0.0740 0.5757 0.0740
Tc 0.4243 0.9260 0.9260
Tc 0.5757 0.0740 0.0740
Tc 0.9260 0.4243 0.9260
Tc 0.9260 0.9260 0.4243
P 0.1666 0.1666 0.1666
P 0.3178 0.3178 0.3178
P 0.4479 0.4479 0.4479
P 0.5521 0.5521 0.5521
P 0.6822 0.6822 0.6822
P 0.8334 0.8334 0.8334


Entry 4:
Structure and simulated X-ray powder pattern of EuHoCuIr (the GGA-PBE geometry in Alexandria; Cu Kα (λ = 1.5418 Å)).
Kinematic intensities with the Lorentz-polarization factor, no thermal factor.

Main lines, in order of rising 2θ (10° ≤ 2θ ≤ 90°):
2θ = 22.12°, intensity 10.2
2θ = 36.51°, intensity 100.0
2θ = 43.10°, intensity 5.6
2θ = 52.59°, intensity 17.5
2θ = 57.73°, intensity 2.5
2θ = 65.72°, intensity 35.7
2θ = 77.59°, intensity 11.1
2θ = 88.93°, intensity 16.4

Cell and atoms:
Unit cell a=4.9219 b=4.9219 c=4.9219 alpha=60.00 beta=60.00 gamma=60.00
Fractional positions:
Eu 0.0000 0.0000 0.0000
Ho 0.5000 0.5000 0.5000
Cu 0.2500 0.2500 0.2500
Ir 0.7500 0.7500 0.7500


Entry 5:
Structure and simulated X-ray powder pattern of CsYPdCl6 (the GGA-PBE geometry in Alexandria; Cu Kα (λ = 1.5418 Å)).
Kinematic intensities with the Lorentz-polarization factor, no thermal factor.

Main lines, in order of rising 2θ (10° ≤ 2θ ≤ 90°):
2θ = 11.09°, intensity 60.7
2θ = 17.34°, intensity 100.0
2θ = 19.57°, intensity 66.8
2θ = 19.77°, intensity 71.4
2θ = 30.47°, intensity 73.4
2θ = 30.86°, intensity 55.0
2θ = 36.91°, intensity 52.5
2θ = 45.27°, intensity 39.6

Cell and atoms:
Unit cell a=6.5433 b=6.5479 c=8.0658 alpha=94.71 beta=94.80 gamma=112.28
Fractional positions:
Cs 0.0000 0.0000 0.0000
Y 0.6297 0.3688 0.5000
Pd 0.2706 0.7277 0.5000
Cl 0.2755 0.4239 0.3316
Cl 0.3052 0.0632 0.6504
Cl 0.5746 0.7224 0.6685
Cl 0.5889 0.0918 0.2444
Cl 0.9071 0.4092 0.7556
Cl 0.9347 0.6932 0.3493


Entry 6:
Structure and simulated X-ray powder pattern of Pm6ZnGe5 (the GGA-PBE geometry in Alexandria; Cu Kα (λ = 1.5418 Å)).
Kinematic intensities with the Lorentz-polarization factor, no thermal factor.

Main lines, in order of rising 2θ (10° ≤ 2θ ≤ 90°):
2θ = 25.08°, intensity 10.5
2θ = 29.52°, intensity 100.0
2θ = 41.18°, intensity 13.0
2θ = 41.56°, intensity 25.8
2θ = 42.89°, intensity 23.7
2θ = 43.28°, intensity 11.4
2θ = 51.47°, intensity 13.4
2θ = 68.49°, intensity 11.2

Cell and atoms:
Unit cell a=7.5715 b=7.5715 c=7.2204 alpha=100.12 beta=100.12 gamma=120.58
Fractional positions:
Pm 0.0625 0.4123 0.7367
Pm 0.2363 0.2363 0.2563
Pm 0.4123 0.0625 0.7367
Pm 0.5877 0.9375 0.2633
Pm 0.7637 0.7637 0.7437
Pm 0.9375 0.5877 0.2633
Zn 0.5000 0.5000 0.0000
Ge 0.0000 0.0000 0.5000
Ge 0.1673 0.8327 0.0000
Ge 0.3438 0.6562 0.5000
Ge 0.6562 0.3438 0.5000
Ge 0.8327 0.1673 0.0000


Entry 7:
Structure and simulated X-ray powder pattern of Li2CuSiO4 (the GGA-PBE geometry in Alexandria; Cu Kα (λ = 1.5418 Å)).
Kinematic intensities with the Lorentz-polarization factor, no thermal factor.

Main lines, in order of rising 2θ (10° ≤ 2θ ≤ 90°):
2θ = 14.14°, intensity 100.0
2θ = 22.44°, intensity 51.2
2θ = 27.59°, intensity 62.8
2θ = 28.56°, intensity 22.5
2θ = 32.26°, intensity 20.9
2θ = 33.41°, intensity 20.9
2θ = 33.97°, intensity 33.6
2θ = 35.38°, intensity 54.6

Cell and atoms:
Unit cell a=6.2747 b=5.0737 c=10.7449 alpha=90.00 beta=93.31 gamma=90.00
Fractional positions:
Li 0.0099 0.1955 0.4144
Li 0.0099 0.3045 0.9144
Li 0.2494 0.7066 0.3300
Li 0.2494 0.7934 0.8300
Li 0.7506 0.2066 0.1700
Li 0.7506 0.2934 0.6700
Li 0.9901 0.6955 0.0856
Li 0.9901 0.8045 0.5856
Cu 0.4848 0.7452 0.0780
Cu 0.4848 0.7548 0.5780
Cu 0.5152 0.2452 0.4220
Cu 0.5152 0.2548 0.9220
Si 0.2381 0.2032 0.1674
Si 0.2381 0.2968 0.6674
Si 0.7619 0.7032 0.3326
Si 0.7619 0.7968 0.8326
O 0.0165 0.1982 0.5981
O 0.0165 0.3018 0.0981
O 0.2529 0.6250 0.6661
O 0.2529 0.8750 0.1661
O 0.2570 0.1862 0.8128
O 0.2570 0.3138 0.3128
O 0.4464 0.1852 0.5919
O 0.4464 0.3148 0.0919
O 0.5536 0.6852 0.9081
O 0.5536 0.8148 0.4081
O 0.7430 0.6862 0.6872
O 0.7430 0.8138 0.1872
O 0.7471 0.1250 0.8339
O 0.7471 0.3750 0.3339
O 0.9835 0.6982 0.9019
O 0.9835 0.8018 0.4019


Entry 8:
Structure and simulated X-ray powder pattern of Ba2CaHg10 (the GGA-PBE geometry in Alexandria; Cu Kα (λ = 1.5418 Å)).
Kinematic intensities with the Lorentz-polarization factor, no thermal factor.

Main lines, in order of rising 2θ (10° ≤ 2θ ≤ 90°):
2θ = 13.13°, intensity 37.1
2θ = 14.80°, intensity 100.0
2θ = 21.28°, intensity 37.1
2θ = 31.43°, intensity 49.6
2θ = 31.89°, intensity 47.2
2θ = 34.19°, intensity 82.8
2θ = 34.45°, intensity 71.2
2θ = 35.49°, intensity 55.5

Cell and atoms:
Unit cell a=11.4775 b=13.4884 c=5.9837 alpha=90.00 beta=90.00 gamma=90.00
Fractional positions:
Ba 0.1318 0.1648 0.0000
Ba 0.3682 0.6648 0.0000
Ba 0.6318 0.3352 0.0000
Ba 0.8682 0.8352 0.0000
Ca 0.0000 0.5000 0.5000
Ca 0.5000 0.0000 0.5000
Hg 0.0280 0.8893 0.5000
Hg 0.0934 0.6932 0.2470
Hg 0.0934 0.6932 0.7530
Hg 0.1893 0.3185 0.5000
Hg 0.2291 0.0344 0.5000
Hg 0.2709 0.5344 0.5000
Hg 0.3107 0.8185 0.5000
Hg 0.4066 0.1932 0.2470
Hg 0.4066 0.1932 0.7530
Hg 0.4720 0.3893 0.5000
Hg 0.5280 0.6107 0.5000
Hg 0.5934 0.8068 0.2470
Hg 0.5934 0.8068 0.7530
Hg 0.6893 0.1815 0.5000
Hg 0.7291 0.4656 0.5000
Hg 0.7709 0.9656 0.5000
Hg 0.8107 0.6815 0.5000
Hg 0.9066 0.3068 0.2470
Hg 0.9066 0.3068 0.7530
Hg 0.9720 0.1107 0.5000


Entry 9:
Structure and simulated X-ray powder pattern of AcGdAl4 (the GGA-PBE geometry in Alexandria; Cu Kα (λ = 1.5418 Å)).
Kinematic intensities with the Lorentz-polarization factor, no thermal factor.

Main lines, in order of rising 2θ (10° ≤ 2θ ≤ 90°):
2θ = 18.86°, intensity 71.4
2θ = 31.04°, intensity 100.0
2θ = 36.57°, intensity 95.9
2θ = 48.70°, intensity 19.7
2θ = 55.21°, intensity 40.3
2θ = 58.88°, intensity 32.6
2θ = 64.70°, intensity 20.6
2θ = 73.49°, intensity 17.4

Cell and atoms:
Unit cell a=5.7631 b=5.7631 c=5.7631 alpha=60.00 beta=60.00 gamma=60.00
Fractional positions:
Ac 0.0000 0.0000 0.0000
Gd 0.7500 0.7500 0.7500
Al 0.3754 0.3754 0.3754
Al 0.3754 0.3754 0.8738
Al 0.3754 0.8738 0.3754
Al 0.8738 0.3754 0.3754


Entry 10:
Structure and simulated X-ray powder pattern of CsBaCu4O6 (the GGA-PBE geometry in Alexandria; Cu Kα (λ = 1.5418 Å)).
Kinematic intensities with the Lorentz-polarization factor, no thermal factor.

Main lines, in order of rising 2θ (10° ≤ 2θ ≤ 90°):
2θ = 28.41°, intensity 100.0
2θ = 29.38°, intensity 62.6
2θ = 41.33°, intensity 18.9
2θ = 51.51°, intensity 36.0
2θ = 52.10°, intensity 12.4
2θ = 55.88°, intensity 20.7
2θ = 60.94°, intensity 11.2
2θ = 68.58°, intensity 14.7

Cell and atoms:
Unit cell a=6.0810 b=6.0810 c=7.8272 alpha=90.00 beta=90.00 gamma=120.00
Fractional positions:
Cs 0.0000 0.0000 0.0000
Ba 0.0000 0.0000 0.5000
Cu 0.3333 0.6667 0.2514
Cu 0.3333 0.6667 0.7486
Cu 0.6667 0.3333 0.2514
Cu 0.6667 0.3333 0.7486
O 0.0000 0.5000 0.2852
O 0.0000 0.5000 0.7148
O 0.5000 0.0000 0.2852
O 0.5000 0.0000 0.7148
O 0.5000 0.5000 0.2852
O 0.5000 0.5000 0.7148


Entry 11:
Structure and simulated X-ray powder pattern of La2TbY2Ho (the GGA-PBE geometry in Alexandria; Cu Kα (λ = 1.5418 Å)).
Kinematic intensities with the Lorentz-polarization factor, no thermal factor.

Main lines, in order of rising 2θ (10° ≤ 2θ ≤ 90°):
2θ = 28.27°, intensity 100.0
2θ = 30.19°, intensity 85.8
2θ = 30.35°, intensity 60.9
2θ = 31.16°, intensity 61.8
2θ = 33.33°, intensity 87.6
2θ = 35.85°, intensity 43.8
2θ = 40.65°, intensity 61.1
2θ = 63.45°, intensity 34.2

Cell and atoms:
Unit cell a=6.7546 b=17.7618 c=3.3950 alpha=90.00 beta=90.00 gamma=90.00
Fractional positions:
La 0.2432 0.1525 0.0000
La 0.2568 0.6525 0.5000
La 0.7432 0.3475 0.5000
La 0.7568 0.8475 0.0000
Tb 0.0000 0.0000 0.5000
Tb 0.5000 0.5000 0.0000
Y 0.2489 0.8277 0.0000
Y 0.2511 0.3277 0.5000
Y 0.7489 0.6723 0.5000
Y 0.7511 0.1723 0.0000
Ho 0.0000 0.5000 0.5000
Ho 0.5000 0.0000 0.0000


Entry 12:
Structure and simulated X-ray powder pattern of NbBIN2 (the GGA-PBE geometry in Alexandria; Cu Kα (λ = 1.5418 Å)).
Kinematic intensities with the Lorentz-polarization factor, no thermal factor.

Main lines, in order of rising 2θ (10° ≤ 2θ ≤ 90°):
2θ = 22.13°, intensity 100.0
2θ = 30.12°, intensity 34.0
2θ = 31.50°, intensity 36.6
2θ = 37.69°, intensity 50.1
2θ = 44.14°, intensity 29.0
2θ = 50.84°, intensity 21.1
2θ = 55.24°, intensity 22.3
2θ = 60.23°, intensity 25.1

Cell and atoms:
Unit cell a=4.0160 b=4.0160 c=5.9346 alpha=90.00 beta=90.00 gamma=90.00
Fractional positions:
Nb 0.0000 0.0000 0.0000
B 0.5000 0.5000 0.5000
I 0.0000 0.0000 0.5000
N 0.0000 0.5000 0.0000
N 0.5000 0.0000 0.0000


Entry 13:
Structure and simulated X-ray powder pattern of PrY2ErP4 (the GGA-PBE geometry in Alexandria; Cu Kα (λ = 1.5418 Å)).
Kinematic intensities with the Lorentz-polarization factor, no thermal factor.

Main lines, in order of rising 2θ (10° ≤ 2θ ≤ 90°):
2θ = 26.95°, intensity 67.9
2θ = 31.21°, intensity 100.0
2θ = 44.72°, intensity 72.1
2θ = 52.99°, intensity 32.9
2θ = 55.54°, intensity 25.0
2θ = 71.79°, intensity 13.1
2θ = 73.96°, intensity 31.7
2θ = 82.44°, intensity 24.0

Cell and atoms:
Unit cell a=7.0170 b=4.0548 c=7.0179 alpha=90.00 beta=109.47 gamma=90.00
Fractional positions:
Pr 0.0000 0.0000 0.0000
Y 0.0000 0.5000 0.5000
Y 0.5000 0.0000 0.5000
Er 0.5000 0.5000 0.0000
P 0.2558 0.0000 0.7484
P 0.2585 0.5000 0.2565
P 0.7415 0.5000 0.7435
P 0.7442 0.0000 0.2516